The following is a computed powder diffraction line list of BaV2SeO8. It was derived from a DFT-relaxed cell (PBE+U, Alexandria), using Cu Kα, 1.54184 Å.

Atomic structure:
Unit cell a=14.4324 b=5.4486 c=9.1844 alpha=90.00 beta=90.00 gamma=90.00
Space group Pnma (No. 62)
Asymmetric unit:
Ba  0.0799  0.2500  0.2064
V  0.1629  0.7500  0.5385
V  0.2120  0.7500  0.9436
Se  0.1040  0.2500  0.7858
O  0.0114  0.7500  0.2336
O  0.0512  0.7500  0.5836
O  0.1133  0.0047  0.9127
O  0.1935  0.0137  0.4297
O  0.1944  0.7500  0.1189
O  0.2252  0.7500  0.6973

The 12 most intense peaks (5 to 70 degrees two-theta), by angle:
2θ 18.94, rel. 15
2θ 20.42, rel. 19
2θ 22.96, rel. 38
2θ 26.55, rel. 35
2θ 28.26, rel. 100
2θ 29.70, rel. 55
2θ 29.83, rel. 20
2θ 32.88, rel. 34
2θ 38.57, rel. 13
2θ 42.42, rel. 13
2θ 44.99, rel. 13
2θ 55.91, rel. 15